Structure and theoretical powder diffraction line list of CsTlPbCl4 (a cell relaxed with GGA-PBE; Cu Kα (weighted mean of Kα1 and Kα2)).
Intensities are scaled so that the largest is 100.

Top 6 peaks for 2θ from 10° to 80°, in order of rising 2θ:
| 2θ/deg | d [Å] | I_rel | hkl |
| --- | --- | --- | --- |
| 22.05 | 4.031 | 80.4 | 1 1 0 |
| 22.24 | 3.998 | 100.0 | 1 0 3 |
| 30.86 | 2.898 | 26.4 | 1 0 5 |
| 31.39 | 2.850 | 54.4 | 2 0 0 |
| 38.80 | 2.321 | 50.2 | 2 1 3 |
| 50.68 | 1.801 | 29.8 | 3 1 0 |

Cell and atoms:
```
data_CsTlPbCl4
_chemical_formula_sum 'Cs2 Tl2 Pb2 Cl8'
_space_group_name_H-M_alt 'I 4 m m'
_space_group_IT_number 107
_space_group_name_Hall 'I 4 -2'
_cell_length_a 5.7001
_cell_length_b 5.7001
_cell_length_c 16.8247
_cell_angle_alpha 90.00
_cell_angle_beta 90.00
_cell_angle_gamma 90.00
loop_
_atom_site_label
_atom_site_type_symbol
_atom_site_fract_x
_atom_site_fract_y
_atom_site_fract_z
Cs1 Cs 0.0000 0.0000 0.0000
Tl1 Tl 0.0000 0.0000 0.7153
Pb1 Pb 0.0000 0.0000 0.3608
Cl1 Cl 0.0000 0.0000 0.1973
Cl2 Cl 0.0000 0.0000 0.5423
Cl3 Cl 0.0000 0.5000 0.3597
```